Structure and simulated powder XRD pattern of KNaPa4N8 (a GGA-PBE-relaxed structure; Cu Ka).
Neutral-atom scattering factors, no anomalous dispersion.

Structural model:
abc: 6.958 6.958 6.958
angles: 61.87 61.87 61.87
Atoms (fractional coordinates):
1 K 0.000 0.000 0.000
2 Na 0.618 0.618 0.618
3 Pa 0.106 0.624 0.624
4 Pa 0.237 0.237 0.237
5 Pa 0.624 0.106 0.624
6 Pa 0.624 0.624 0.106
7 N 0.347 0.347 0.861
8 N 0.347 0.861 0.347
9 N 0.368 0.368 0.368
10 N 0.444 0.864 0.864
11 N 0.846 0.846 0.846
12 N 0.861 0.347 0.347
13 N 0.864 0.444 0.864
14 N 0.864 0.864 0.444

Most intense lines, 2θ = 10–80°, by intensity:
two_theta	I (rel.)
29.32	1000
15.83	595
29.64	531
30.77	512
25.63	435
17.79	404
51.07	335
52.66	288
30.26	280
47.96	275

---

Structure and simulated powder XRD pattern of KNa2WN3 (a GGA-PBE-relaxed structure; Cu Ka).
Neutral-atom scattering factors, no anomalous dispersion.

Structural model:
abc: 12.484 6.342 12.245
angles: 90.00 90.00 90.00
Atoms (fractional coordinates):
1 K 0.023 0.084 0.000
2 K 0.202 0.399 0.755
3 K 0.298 0.399 0.255
4 K 0.477 0.084 0.500
5 K 0.523 0.916 0.000
6 K 0.702 0.601 0.755
7 K 0.798 0.601 0.255
8 K 0.977 0.916 0.500
9 Na 0.029 0.502 0.380
10 Na 0.037 0.543 0.129
11 Na 0.118 0.872 0.749
12 Na 0.230 0.242 0.504
13 Na 0.270 0.242 0.004
14 Na 0.382 0.872 0.249
15 Na 0.463 0.543 0.629
16 Na 0.471 0.502 0.880
17 Na 0.529 0.498 0.380
18 Na 0.537 0.457 0.129
19 Na 0.618 0.128 0.749
20 Na 0.730 0.758 0.504
21 Na 0.770 0.758 0.004
22 Na 0.882 0.128 0.249
23 Na 0.963 0.457 0.629
24 Na 0.971 0.498 0.880
25 W 0.121 0.973 0.258
26 W 0.248 0.731 0.506
27 W 0.252 0.731 0.006
28 W 0.379 0.973 0.758
29 W 0.621 0.027 0.258
30 W 0.748 0.269 0.506
31 W 0.752 0.269 0.006
32 W 0.879 0.027 0.758
33 N 0.002 0.183 0.763
34 N 0.081 0.250 0.249
35 N 0.132 0.573 0.549
36 N 0.147 0.548 0.962
37 N 0.206 0.904 0.128
38 N 0.209 0.926 0.388
39 N 0.291 0.926 0.888
40 N 0.294 0.904 0.628
41 N 0.353 0.548 0.462
42 N 0.368 0.573 0.049
43 N 0.419 0.250 0.749
44 N 0.498 0.183 0.263
45 N 0.502 0.817 0.763
46 N 0.581 0.750 0.249
47 N 0.632 0.427 0.549
48 N 0.647 0.452 0.962
49 N 0.706 0.096 0.128
50 N 0.709 0.074 0.388
51 N 0.791 0.074 0.888
52 N 0.794 0.096 0.628
53 N 0.853 0.452 0.462
54 N 0.868 0.427 0.049
55 N 0.919 0.750 0.749
56 N 0.998 0.817 0.263

Most intense lines, 2θ = 10–80°, by intensity:
two_theta	I (rel.)
21.25	1000
15.67	956
32.19	843
15.94	748
21.39	745
29.17	719
29.53	572
31.78	568
20.16	511
32.49	485

---

Structure and simulated powder XRD pattern of K2Pa2NbN6 (a GGA-PBE-relaxed structure; Cu Ka).
Neutral-atom scattering factors, no anomalous dispersion.

Structural model:
abc: 5.942 5.942 6.788
angles: 97.65 97.65 119.56
Atoms (fractional coordinates):
1 K 0.160 0.840 0.000
2 K 0.840 0.160 0.000
3 Pa 0.334 0.666 0.500
4 Pa 0.666 0.334 0.500
5 Nb 0.000 0.000 0.500
6 N 0.042 0.366 0.657
7 N 0.267 0.267 0.344
8 N 0.366 0.042 0.657
9 N 0.634 0.958 0.343
10 N 0.733 0.733 0.656
11 N 0.958 0.634 0.343

Most intense lines, 2θ = 10–80°, by intensity:
two_theta	I (rel.)
13.53	1000
35.07	373
30.37	343
31.60	311
27.25	267
35.65	199
31.01	166
48.46	127
44.06	123
55.51	116

---

Structure and simulated powder XRD pattern of K2NbVN4 (a GGA-PBE-relaxed structure; Cu Ka).
Neutral-atom scattering factors, no anomalous dispersion.

Structural model:
abc: 6.077 6.594 6.901
angles: 90.00 90.00 90.00
Atoms (fractional coordinates):
1 K 0.250 0.001 0.205
2 K 0.250 0.499 0.205
3 K 0.750 0.501 0.795
4 K 0.750 0.999 0.795
5 Nb 0.250 0.250 0.655
6 Nb 0.750 0.750 0.345
7 V 0.250 0.750 0.663
8 V 0.750 0.250 0.337
9 N 0.009 0.750 0.509
10 N 0.250 0.510 0.802
11 N 0.250 0.990 0.802
12 N 0.491 0.750 0.509
13 N 0.509 0.250 0.491
14 N 0.750 0.010 0.198
15 N 0.750 0.490 0.198
16 N 0.991 0.250 0.491

Most intense lines, 2θ = 10–80°, by intensity:
two_theta	I (rel.)
33.54	1000
29.40	615
29.77	585
12.83	531
30.04	436
57.50	392
19.46	339
39.52	305
25.82	250
54.83	230

---

Structure and simulated powder XRD pattern of KNp2N4 (a GGA-PBE-relaxed structure; Cu Ka).
Neutral-atom scattering factors, no anomalous dispersion.

Structural model:
abc: 5.884 5.884 11.039
angles: 90.00 90.00 145.62
Atoms (fractional coordinates):
1 K 0.110 0.890 0.750
2 K 0.890 0.110 0.250
3 Np 0.366 0.634 0.569
4 Np 0.366 0.634 0.931
5 Np 0.634 0.366 0.069
6 Np 0.634 0.366 0.431
7 N 0.000 0.000 0.000
8 N 0.000 0.000 0.500
9 N 0.256 0.744 0.087
10 N 0.256 0.744 0.413
11 N 0.417 0.583 0.750
12 N 0.583 0.417 0.250
13 N 0.744 0.256 0.587
14 N 0.744 0.256 0.913

Most intense lines, 2θ = 10–80°, by intensity:
two_theta	I (rel.)
29.00	1000
16.06	673
26.83	418
17.71	385
35.21	383
36.43	374
31.84	371
38.91	326
31.43	317
49.56	314

---

Structure and simulated powder XRD pattern of K5NpN4 (a GGA-PBE-relaxed structure; Cu Ka).
Neutral-atom scattering factors, no anomalous dispersion.

Structural model:
abc: 9.969 9.969 7.622
angles: 93.00 93.00 21.32
Atoms (fractional coordinates):
1 K 0.000 0.000 0.000
2 K 0.359 0.359 0.255
3 K 0.359 0.359 0.706
4 K 0.641 0.641 0.294
5 K 0.641 0.641 0.745
6 Np 0.000 0.000 0.500
7 N 0.097 0.097 0.513
8 N 0.500 0.500 0.319
9 N 0.500 0.500 0.681
10 N 0.903 0.903 0.487

Most intense lines, 2θ = 10–80°, by intensity:
two_theta	I (rel.)
11.63	1000
27.79	601
33.99	468
27.35	439
14.36	419
15.12	336
34.34	332
24.61	326
30.51	319
28.95	282